Record 1
Diffraction record for Li3Hg2Au. The powder XRD pattern is computed, not measured: it uses a structure optimized by DFT (GGA-PBE) and Cu Kα.
Lines closer than 0.1° are merged.

Crystal structure
```
data_Li3Hg2Au
_chemical_formula_sum 'Li3 Hg2 Au1'
_cell_length_a 3.287
_cell_length_b 3.287
_cell_length_c 9.642
_cell_angle_alpha 90.00
_cell_angle_beta 90.00
_cell_angle_gamma 90.00
_symmetry_space_group_name_H-M 'P 4/m m m'
_symmetry_Int_Tables_number 123
_symmetry_space_group_name_Hall '-P 4 2'
loop_
_atom_site_label
_atom_site_fract_x
_atom_site_fract_y
_atom_site_fract_z
Li1 0.000 0.000 0.000
Li2 0.000 0.000 0.352
Hg1 0.500 0.500 0.175
Au1 0.500 0.500 0.500
```

Top 12 peaks for 10 to 80 degrees two-theta, in order of falling intensity:
- hkl 1 0 0, 2θ = 27.13°, rel. 100
- hkl 1 0 3, 2θ = 39.20°, rel. 84
- hkl 0 0 3, 2θ = 27.76°, rel. 47
- hkl 1 1 0, 2θ = 38.74°, rel. 44
- hkl 1 1 3, 2θ = 48.32°, rel. 42
- hkl 2 1 3, 2θ = 70.43°, rel. 31
- hkl 2 1 0, 2θ = 63.26°, rel. 19
- hkl 2 0 3, 2θ = 63.58°, rel. 19
- hkl 1 0 6, 2θ = 64.55°, rel. 17
- hkl 2 0 0, 2θ = 55.94°, rel. 15
- hkl 1 1 6, 2θ = 71.35°, rel. 14
- hkl 0 0 6, 2θ = 57.33°, rel. 7

***

Record 2
Diffraction record for Li2Hg6Au. The powder XRD pattern is computed, not measured: it uses a structure optimized by DFT (GGA-PBE) and Cu Kα.
Lines closer than 0.1° are merged.

Crystal structure
```
data_Li2Hg6Au
_chemical_formula_sum 'Li8 Hg24 Au4'
_cell_length_a 12.745
_cell_length_b 11.621
_cell_length_c 5.968
_cell_angle_alpha 90.00
_cell_angle_beta 100.22
_cell_angle_gamma 90.00
_symmetry_space_group_name_H-M 'C 1 2/c 1'
_symmetry_Int_Tables_number 15
_symmetry_space_group_name_Hall '-C 2yc'
loop_
_atom_site_label
_atom_site_fract_x
_atom_site_fract_y
_atom_site_fract_z
Li1 0.156 0.122 0.146
Hg1 0.080 0.105 0.594
Hg2 0.112 0.384 0.657
Hg3 0.196 0.371 0.170
Au1 0.000 0.271 0.250
```

Top 12 peaks for 10 to 80 degrees two-theta, in order of falling intensity:
- hkl 2 4 -2, 2θ = 44.44°, rel. 100
- hkl 0 4 0, 2θ = 30.78°, rel. 85
- hkl 1 3 1, 2θ = 29.19°, rel. 80
- hkl 5 1 -1, 2θ = 37.20°, rel. 79
- hkl 2 0 -2, 2θ = 31.26°, rel. 72
- hkl 3 1 -1, 2θ = 25.05°, rel. 68
- hkl 3 3 1, 2θ = 36.76°, rel. 68
- hkl 5 1 1, 2θ = 42.37°, rel. 63
- hkl 3 1 0, 2θ = 22.60°, rel. 52
- hkl 2 0 2, 2θ = 36.00°, rel. 44
- hkl 1 1 2, 2θ = 33.45°, rel. 38
- hkl 2 2 -1, 2θ = 24.28°, rel. 34

***

Record 3
Diffraction record for Li2HgPdAu. The powder XRD pattern is computed, not measured: it uses a structure optimized by DFT (GGA-PBE) and Cu Kα.
Lines closer than 0.1° are merged.

Crystal structure
```
data_Li2HgPdAu
_chemical_formula_sum 'Li4 Hg2 Pd2 Au2'
_cell_length_a 5.420
_cell_length_b 7.083
_cell_length_c 4.859
_cell_angle_alpha 90.00
_cell_angle_beta 90.00
_cell_angle_gamma 90.00
_symmetry_space_group_name_H-M 'P m m a'
_symmetry_Int_Tables_number 51
_symmetry_space_group_name_Hall '-P 2a 2a'
loop_
_atom_site_label
_atom_site_fract_x
_atom_site_fract_y
_atom_site_fract_z
Li1 0.250 0.205 0.224
Hg1 0.250 0.000 0.721
Pd1 0.250 0.500 0.510
Au1 0.000 0.500 0.000
```

Top 12 peaks for 10 to 80 degrees two-theta, in order of falling intensity:
- hkl 0 2 0, 2θ = 25.15°, rel. 100
- hkl 0 1 2, 2θ = 39.20°, rel. 63
- hkl 2 1 0, 2θ = 35.47°, rel. 59
- hkl 1 1 1, 2θ = 27.69°, rel. 45
- hkl 2 2 1, 2θ = 46.13°, rel. 38
- hkl 2 1 1, 2θ = 40.17°, rel. 35
- hkl 2 0 1, 2θ = 38.03°, rel. 34
- hkl 1 0 1, 2θ = 24.61°, rel. 31
- hkl 0 3 2, 2θ = 54.17°, rel. 28
- hkl 0 1 0, 2θ = 12.50°, rel. 22
- hkl 2 1 3, 2θ = 68.82°, rel. 16
- hkl 0 1 1, 2θ = 22.19°, rel. 16